Simulated powder XRD pattern of Li2MgB12H16O28 for λ = 1.5418 Å (Cu Kα), from a structure optimized by DFT (PBE).
Neutral-atom scattering factors, no anomalous dispersion.

Structure:
a b c (Å): 6.993 9.272 9.589
angles (deg): 72.15 88.94 68.35
Fractional positions:
Li1 0.242 0.265 0.225
Li2 0.758 0.735 0.775
Mg1 0.500 0.000 0.000
B1 0.017 0.953 0.304
B2 0.247 0.796 0.153
B3 0.279 0.305 0.515
B4 0.363 0.335 0.752
B5 0.392 0.896 0.342
B6 0.452 0.511 0.174
B7 0.548 0.489 0.826
B8 0.608 0.104 0.658
B9 0.637 0.665 0.248
B10 0.721 0.695 0.485
B11 0.753 0.204 0.847
B12 0.983 0.047 0.696
H1 0.011 0.446 0.390
H2 0.074 0.651 0.980
H3 0.144 0.601 0.840
H4 0.157 0.969 0.942
H5 0.161 0.226 0.840
H6 0.189 0.951 0.571
H7 0.400 0.722 0.814
H8 0.431 0.972 0.730
H9 0.569 0.028 0.270
H10 0.600 0.278 0.186
H11 0.811 0.049 0.429
H12 0.839 0.774 0.160
H13 0.843 0.031 0.058
H14 0.856 0.399 0.160
H15 0.926 0.349 0.020
H16 0.989 0.554 0.610
O1 0.026 0.673 0.877
O2 0.042 0.880 0.195
O3 0.141 0.353 0.392
O4 0.181 0.952 0.381
O5 0.184 0.973 0.666
O6 0.228 0.388 0.616
O7 0.263 0.638 0.142
O8 0.282 0.903 0.013
O9 0.291 0.229 0.873
O10 0.368 0.476 0.786
O11 0.415 0.766 0.268
O12 0.434 0.033 0.233
O13 0.460 0.363 0.163
O14 0.462 0.177 0.528
O15 0.538 0.823 0.472
O16 0.540 0.637 0.837
O17 0.566 0.967 0.767
O18 0.585 0.234 0.732
O19 0.632 0.524 0.214
O20 0.709 0.771 0.127
O21 0.718 0.097 0.987
O22 0.737 0.362 0.858
O23 0.772 0.612 0.384
O24 0.816 0.027 0.334
O25 0.819 0.048 0.619
O26 0.859 0.647 0.608
O27 0.958 0.120 0.805
O28 0.974 0.327 0.123

The 10 most intense peaks (10° ≤ 2θ ≤ 90°), in order of rising 2θ:
| 2θ/deg | intensity |
| --- | --- |
| 10.8 | 59 |
| 12.0 | 78 |
| 13.7 | 71 |
| 16.8 | 60 |
| 18.1 | 85 |
| 19.6 | 41 |
| 20.8 | 60 |
| 25.4 | 100 |
| 25.7 | 45 |
| 30.6 | 44 |